No. 1
The following is a simulated X-ray powder pattern of Hg. It was derived from DFT lattice parameters and positions (PBE), using Cu Kα X-rays.

The 10 most intense peaks (15 to 90 degrees two-theta), most intense first:
Position (°2θ)	d_spacing	I_rel
31.74	2.819	100.0
34.86	2.574	78.4
54.46	1.685	44.7
28.31	3.152	33.3
52.32	1.749	25.1
68.16	1.376	23.1
82.37	1.171	21.3
58.57	1.576	18.0
84.10	1.151	13.6
87.54	1.114	12.6

Atomic structure:
Cell: 6.3043 6.3043 6.3043 Å, 90.00 90.00 90.00°
Atoms (fractional coordinates):
Hg 0.0000 0.0000 0.0000
Hg 0.0000 0.2500 0.5000
Hg 0.0000 0.7500 0.5000
Hg 0.2500 0.5000 0.0000
Hg 0.5000 0.0000 0.2500
Hg 0.5000 0.0000 0.7500
Hg 0.5000 0.5000 0.5000
Hg 0.7500 0.5000 0.0000

No. 2
The following is a simulated X-ray powder pattern of Nd7Rh3. It was derived from DFT lattice parameters and positions (PBE), using Cu Kα X-rays.

The 10 most intense peaks (15 to 90 degrees two-theta), most intense first:
Position (°2θ)	d_spacing	I_rel
30.34	2.946	100.0
33.65	2.664	54.0
34.93	2.568	43.9
30.03	2.976	41.6
54.05	1.697	40.7
35.29	2.543	38.7
53.52	1.712	24.6
53.83	1.703	22.3
30.44	2.937	18.1
47.84	1.901	13.5

Atomic structure:
Cell: 10.1738 10.1738 6.3227 Å, 90.00 90.00 120.00°
Atoms (fractional coordinates):
Nd 0.0836 0.5418 0.0000
Nd 0.1256 0.2511 0.6900
Nd 0.1256 0.8744 0.6900
Nd 0.2511 0.1256 0.1900
Nd 0.3333 0.6667 0.4769
Nd 0.4582 0.5418 0.0000
Nd 0.4582 0.9164 0.0000
Nd 0.5418 0.0836 0.5000
Nd 0.5418 0.4582 0.5000
Nd 0.6667 0.3333 0.9769
Nd 0.7489 0.8744 0.6900
Nd 0.8744 0.1256 0.1900
Nd 0.8744 0.7489 0.1900
Nd 0.9164 0.4582 0.5000
Rh 0.1887 0.3774 0.2599
Rh 0.1887 0.8113 0.2599
Rh 0.3774 0.1887 0.7599
Rh 0.6226 0.8113 0.2599
Rh 0.8113 0.1887 0.7599
Rh 0.8113 0.6226 0.7599

No. 3
The following is a simulated X-ray powder pattern of SrTiNb2Bi2PbO12. It was derived from DFT lattice parameters and positions (PBE), using Cu Kα X-rays.

The 10 most intense peaks (15 to 90 degrees two-theta), most intense first:
Position (°2θ)	d_spacing	I_rel
29.49	3.029	100.0
32.05	2.793	46.3
55.56	1.654	35.0
45.96	1.975	28.3
26.29	3.390	27.8
46.31	1.960	18.5
50.65	1.802	14.2
32.53	2.753	13.6
57.96	1.591	13.4
76.96	1.239	11.9

Atomic structure:
Cell: 16.7505 16.7505 16.7505 Å, 166.46 166.46 19.19°
Atoms (fractional coordinates):
Sr 0.0000 0.0000 0.0000
Ti 0.4412 0.4412 0.0000
Nb 0.3117 0.3117 0.0000
Nb 0.5676 0.5676 0.0000
Bi 0.1537 0.1537 0.0000
Bi 0.7280 0.7280 0.0000
Pb 0.8828 0.8828 0.0000
O 0.0596 0.5596 0.5000
O 0.1905 0.6905 0.5000
O 0.2541 0.2541 0.0000
O 0.3185 0.8185 0.5000
O 0.3805 0.3805 0.0000
O 0.4419 0.9419 0.5000
O 0.5007 0.5007 0.0000
O 0.5596 0.0596 0.5000
O 0.6252 0.6252 0.0000
O 0.6905 0.1905 0.5000
O 0.8185 0.3185 0.5000
O 0.9419 0.4419 0.5000

- Number 1 is which compound?
  Hg

- Number 3 is which compound?
  SrTiNb2Bi2PbO12

Copy entry 2 word for word.
The following is a simulated X-ray powder pattern of Nd7Rh3. It was derived from DFT lattice parameters and positions (PBE), using Cu Kα X-rays.

The 10 most intense peaks (15 to 90 degrees two-theta), most intense first:
Position (°2θ)	d_spacing	I_rel
30.34	2.946	100.0
33.65	2.664	54.0
34.93	2.568	43.9
30.03	2.976	41.6
54.05	1.697	40.7
35.29	2.543	38.7
53.52	1.712	24.6
53.83	1.703	22.3
30.44	2.937	18.1
47.84	1.901	13.5

Atomic structure:
Cell: 10.1738 10.1738 6.3227 Å, 90.00 90.00 120.00°
Atoms (fractional coordinates):
Nd 0.0836 0.5418 0.0000
Nd 0.1256 0.2511 0.6900
Nd 0.1256 0.8744 0.6900
Nd 0.2511 0.1256 0.1900
Nd 0.3333 0.6667 0.4769
Nd 0.4582 0.5418 0.0000
Nd 0.4582 0.9164 0.0000
Nd 0.5418 0.0836 0.5000
Nd 0.5418 0.4582 0.5000
Nd 0.6667 0.3333 0.9769
Nd 0.7489 0.8744 0.6900
Nd 0.8744 0.1256 0.1900
Nd 0.8744 0.7489 0.1900
Nd 0.9164 0.4582 0.5000
Rh 0.1887 0.3774 0.2599
Rh 0.1887 0.8113 0.2599
Rh 0.3774 0.1887 0.7599
Rh 0.6226 0.8113 0.2599
Rh 0.8113 0.1887 0.7599
Rh 0.8113 0.6226 0.7599